This entry pairs a crystal structure of GdCdPt2 with its theoretical powder diffraction line list. Radiation: Cu Kα. Structure: a crystal structure in the Materials Project, relaxed with PBE.
Neutral-atom scattering factors, no anomalous dispersion.

Atomic structure:
Unit cell a=4.841 b=4.841 c=4.841 alpha=60.00 beta=60.00 gamma=60.00
Element x y z (fractional)
Gd  0.000  0.000  0.000
Cd  0.500  0.500  0.500
Pt  0.250  0.250  0.250
Pt  0.750  0.750  0.750

Peak list (8 most intense, 10 to 80 degrees two-theta, by angle)
2θ 22.50, rel. 1; 2θ 26.03, rel. 4; 2θ 37.15, rel. 100; 2θ 45.92, rel. 1; 2θ 53.55, rel. 18; 2θ 60.48, rel. 2; 2θ 66.97, rel. 36; 2θ 79.14, rel. 11

This entry pairs a crystal structure of Gd2CdSe4 with its theoretical powder diffraction line list. Radiation: Cu Kα. Structure: a crystal structure in the Materials Project, relaxed with PBE.
Neutral-atom scattering factors, no anomalous dispersion.

Atomic structure:
Unit cell a=7.648 b=7.648 c=7.648 alpha=110.63 beta=110.63 gamma=107.18
Element x y z (fractional)
Gd  0.010  0.625  0.885
Gd  0.375  0.260  0.385
Gd  0.740  0.125  0.115
Gd  0.875  0.990  0.615
Cd  0.250  0.750  0.500
Cd  0.500  0.500  0.000
Se  0.006  0.882  0.260
Se  0.118  0.378  0.123
Se  0.128  0.368  0.623
Se  0.255  0.994  0.877
Se  0.495  0.872  0.240
Se  0.622  0.745  0.740
Se  0.632  0.256  0.760
Se  0.744  0.505  0.377

Peak list (8 most intense, 10 to 80 degrees two-theta, by angle)
2θ 24.89, rel. 46; 2θ 31.29, rel. 90; 2θ 32.39, rel. 91; 2θ 32.53, rel. 100; 2θ 37.65, rel. 64; 2θ 38.24, rel. 45; 2θ 38.59, rel. 46; 2θ 48.22, rel. 38

This entry pairs a crystal structure of Gd2TlCd with its theoretical powder diffraction line list. Radiation: Cu Kα. Structure: a crystal structure in the Materials Project, relaxed with PBE.
Neutral-atom scattering factors, no anomalous dispersion.

Atomic structure:
Unit cell a=5.787 b=5.787 c=5.787 alpha=60.00 beta=60.00 gamma=60.00
Element x y z (fractional)
Gd  0.250  0.250  0.250
Gd  0.750  0.750  0.750
Tl  0.000  0.000  0.000
Cd  0.500  0.500  0.500

Peak list (8 most intense, 10 to 80 degrees two-theta, by angle)
2θ 18.78, rel. 4; 2θ 30.90, rel. 100; 2θ 36.41, rel. 2; 2θ 44.27, rel. 19; 2θ 48.48, rel. 1; 2θ 54.96, rel. 39; 2θ 64.39, rel. 12; 2θ 73.13, rel. 17

This entry pairs a crystal structure of CdGe7N10 with its theoretical powder diffraction line list. Radiation: Cu Kα. Structure: a crystal structure in the Materials Project, relaxed with PBE.
Neutral-atom scattering factors, no anomalous dispersion.

Atomic structure:
Unit cell a=7.137 b=7.288 c=10.321 alpha=90.00 beta=104.36 gamma=90.00
Element x y z (fractional)
Cd  0.000  0.048  0.000
Cd  0.000  0.952  0.500
Ge  0.113  0.398  0.869
Ge  0.113  0.602  0.369
Ge  0.305  0.380  0.178
Ge  0.305  0.620  0.678
Ge  0.351  0.023  0.819
Ge  0.351  0.977  0.319
Ge  0.490  0.367  0.483
Ge  0.490  0.633  0.983
Ge  0.552  0.021  0.121
Ge  0.552  0.979  0.621
Ge  0.667  0.361  0.790
Ge  0.667  0.639  0.290
Ge  0.850  0.385  0.105
Ge  0.850  0.615  0.605
N  0.082  0.427  0.233
N  0.082  0.573  0.733
N  0.139  0.149  0.836
N  0.139  0.851  0.336
N  0.295  0.490  0.017
N  0.295  0.510  0.517
N  0.320  0.126  0.161
N  0.320  0.874  0.661
N  0.445  0.119  0.470
N  0.445  0.881  0.970
N  0.504  0.456  0.317
N  0.504  0.544  0.817
N  0.562  0.131  0.769
N  0.562  0.869  0.269
N  0.707  0.410  0.621
N  0.707  0.590  0.121
N  0.766  0.145  0.103
N  0.766  0.855  0.603
N  0.887  0.393  0.928
N  0.887  0.607  0.428

Peak list (8 most intense, 10 to 80 degrees two-theta, by angle)
2θ 15.04, rel. 44; 2θ 18.31, rel. 70; 2θ 24.43, rel. 79; 2θ 30.15, rel. 55; 2θ 34.86, rel. 45; 2θ 35.30, rel. 51; 2θ 37.20, rel. 100; 2θ 62.55, rel. 38

This entry pairs a crystal structure of Cd5Ge2N6 with its theoretical powder diffraction line list. Radiation: Cu Kα. Structure: a crystal structure in the Materials Project, relaxed with PBE.
Neutral-atom scattering factors, no anomalous dispersion.

Atomic structure:
Unit cell a=5.670 b=5.670 c=14.238 alpha=90.99 beta=90.99 gamma=65.89
Element x y z (fractional)
Cd  0.182  0.818  0.750
Cd  0.186  0.696  0.520
Cd  0.243  0.469  0.304
Cd  0.304  0.814  0.980
Cd  0.469  0.243  0.804
Cd  0.531  0.757  0.196
Cd  0.696  0.186  0.020
Cd  0.757  0.531  0.696
Cd  0.814  0.304  0.480
Cd  0.818  0.182  0.250
Ge  0.101  0.476  0.090
Ge  0.476  0.101  0.590
Ge  0.524  0.899  0.410
Ge  0.899  0.524  0.910
N  0.041  0.546  0.796
N  0.106  0.241  0.992
N  0.241  0.106  0.492
N  0.414  0.504  0.109
N  0.454  0.959  0.704
N  0.496  0.586  0.391
N  0.504  0.414  0.609
N  0.546  0.041  0.296
N  0.586  0.496  0.891
N  0.759  0.894  0.508
N  0.894  0.759  0.008
N  0.959  0.454  0.204

Peak list (8 most intense, 10 to 80 degrees two-theta, by angle)
2θ 25.02, rel. 23; 2θ 28.95, rel. 25; 2θ 29.64, rel. 49; 2θ 30.32, rel. 21; 2θ 31.70, rel. 75; 2θ 32.24, rel. 100; 2θ 35.83, rel. 56; 2θ 54.39, rel. 27

This entry pairs a crystal structure of NaCd2Ge3O9 with its theoretical powder diffraction line list. Radiation: Cu Kα. Structure: a crystal structure in the Materials Project, relaxed with PBE.
Neutral-atom scattering factors, no anomalous dispersion.

Atomic structure:
Unit cell a=7.194 b=7.257 c=8.142 alpha=93.96 beta=102.70 gamma=90.22
Element x y z (fractional)
Na  0.238  0.148  0.439
Na  0.762  0.852  0.561
Cd  0.089  0.641  0.853
Cd  0.410  0.367  0.148
Cd  0.590  0.633  0.852
Cd  0.911  0.359  0.147
Ge  0.092  0.153  0.790
Ge  0.239  0.642  0.459
Ge  0.447  0.852  0.207
Ge  0.553  0.148  0.793
Ge  0.761  0.358  0.541
Ge  0.908  0.847  0.210
O  0.014  0.062  0.186
O  0.029  0.781  0.415
O  0.111  0.340  0.941
O  0.208  0.439  0.324
O  0.295  0.604  0.674
O  0.308  0.083  0.734
O  0.326  0.059  0.157
O  0.392  0.669  0.049
O  0.420  0.790  0.411
O  0.580  0.210  0.589
O  0.608  0.331  0.951
O  0.674  0.941  0.843
O  0.692  0.917  0.266
O  0.705  0.396  0.326
O  0.792  0.561  0.676
O  0.889  0.660  0.059
O  0.971  0.219  0.585
O  0.986  0.938  0.814

Peak list (8 most intense, 10 to 80 degrees two-theta, by angle)
2θ 11.17, rel. 16; 2θ 26.36, rel. 48; 2θ 27.82, rel. 29; 2θ 30.06, rel. 100; 2θ 32.29, rel. 17; 2θ 33.95, rel. 23; 2θ 35.87, rel. 16; 2θ 36.00, rel. 17

This entry pairs a crystal structure of Na2CdGe2S6 with its theoretical powder diffraction line list. Radiation: Cu Kα. Structure: a crystal structure in the Materials Project, relaxed with PBE.
Neutral-atom scattering factors, no anomalous dispersion.

Atomic structure:
Unit cell a=7.437 b=7.437 c=11.745 alpha=94.52 beta=94.52 gamma=119.93
Element x y z (fractional)
Na  0.011  0.989  0.500
Na  0.197  0.598  0.867
Na  0.598  0.197  0.367
Na  0.989  0.011  0.000
Cd  0.081  0.584  0.207
Cd  0.584  0.081  0.707
Ge  0.320  0.596  0.485
Ge  0.596  0.320  0.985
Ge  0.618  0.667  0.233
Ge  0.667  0.618  0.733
S  0.041  0.355  0.368
S  0.321  0.454  0.650
S  0.349  0.907  0.513
S  0.355  0.041  0.868
S  0.454  0.321  0.150
S  0.462  0.835  0.179
S  0.611  0.611  0.422
S  0.611  0.611  0.922
S  0.835  0.462  0.679
S  0.847  0.956  0.724
S  0.907  0.349  0.013
S  0.956  0.847  0.224

Peak list (8 most intense, 10 to 80 degrees two-theta, by angle)
2θ 13.87, rel. 73; 2θ 14.90, rel. 100; 2θ 25.25, rel. 30; 2θ 25.81, rel. 39; 2θ 27.95, rel. 39; 2θ 28.58, rel. 46; 2θ 30.04, rel. 47; 2θ 30.82, rel. 60

This entry pairs a crystal structure of Nd6CdGe2S14 with its theoretical powder diffraction line list. Radiation: Cu Kα. Structure: a crystal structure in the Materials Project, relaxed with PBE.
Neutral-atom scattering factors, no anomalous dispersion.

Atomic structure:
Unit cell a=10.266 b=10.266 c=5.821 alpha=90.00 beta=90.00 gamma=120.00
Element x y z (fractional)
Nd  0.025  0.563  0.000
Nd  0.309  0.104  0.504
Nd  0.437  0.462  0.000
Nd  0.538  0.975  0.000
Nd  0.795  0.691  0.504
Nd  0.896  0.205  0.504
Cd  0.667  0.333  0.266
Ge  0.000  0.000  0.921
Ge  0.333  0.667  0.415
S  0.000  0.000  0.298
S  0.081  0.853  0.764
S  0.147  0.229  0.764
S  0.186  0.438  0.260
S  0.252  0.814  0.260
S  0.333  0.667  0.793
S  0.408  0.170  0.032
S  0.502  0.425  0.521
S  0.562  0.748  0.260
S  0.575  0.077  0.521
S  0.761  0.592  0.032
S  0.771  0.919  0.764
S  0.830  0.239  0.032
S  0.923  0.498  0.521

Peak list (8 most intense, 10 to 80 degrees two-theta, by angle)
2θ 23.10, rel. 34; 2θ 25.21, rel. 100; 2θ 26.53, rel. 24; 2θ 30.72, rel. 26; 2θ 34.96, rel. 43; 2θ 36.44, rel. 37; 2θ 36.91, rel. 41; 2θ 39.70, rel. 33

Copy entry 3 word for word.
This entry pairs a crystal structure of Gd2TlCd with its theoretical powder diffraction line list. Radiation: Cu Kα. Structure: a crystal structure in the Materials Project, relaxed with PBE.
Neutral-atom scattering factors, no anomalous dispersion.

Atomic structure:
Unit cell a=5.787 b=5.787 c=5.787 alpha=60.00 beta=60.00 gamma=60.00
Element x y z (fractional)
Gd  0.250  0.250  0.250
Gd  0.750  0.750  0.750
Tl  0.000  0.000  0.000
Cd  0.500  0.500  0.500

Peak list (8 most intense, 10 to 80 degrees two-theta, by angle)
2θ 18.78, rel. 4; 2θ 30.90, rel. 100; 2θ 36.41, rel. 2; 2θ 44.27, rel. 19; 2θ 48.48, rel. 1; 2θ 54.96, rel. 39; 2θ 64.39, rel. 12; 2θ 73.13, rel. 17

What is the formula in the first record? GdCdPt2